Entry 1:
Starting from a PBE-relaxed structure, the powder X-ray diffraction pattern of K5Al was simulated for copper Kα.
Peak positions follow from Bragg's law for the DFT cell and can differ from measured ones.

Cell and atoms:
```
K5Al
1.0
7.5204 0.0000 0.0000
-3.7602 6.5129 0.0000
0.0000 0.0000 6.5738
K Al
5 1
Direct
0.0000 0.7046 0.0000 K
0.2954 0.2954 0.0000 K
0.3333 0.6667 0.5000 K
0.6667 0.3333 0.5000 K
0.7046 0.0000 0.0000 K
0.0000 0.0000 0.5000 Al
```

Top 10 peaks for 10 to 80 degrees two-theta, most intense first:
| 2θ (°) | d [Å] | I (rel.) |
| --- | --- | --- |
| 27.32 | 3.264 | 100 |
| 23.66 | 3.760 | 24 |
| 27.13 | 3.287 | 24 |
| 50.37 | 1.812 | 18 |
| 48.06 | 1.893 | 18 |
| 41.60 | 2.171 | 17 |
| 36.30 | 2.475 | 15 |
| 50.49 | 1.808 | 13 |
| 67.42 | 1.389 | 8 |
| 19.18 | 4.627 | 6 |



Entry 2:
Starting from a PBE-relaxed structure, the powder X-ray diffraction pattern of Mo3RuSe was simulated for copper Kα.
Peak positions follow from Bragg's law for the DFT cell and can differ from measured ones.

Cell and atoms:
```
Mo3RuSe
1.0
4.5355 0.0000 0.0000
0.0000 4.5355 0.0000
0.0000 0.0000 4.5355
Mo Ru Se
3 1 1
Direct
0.0000 0.0000 0.5000 Mo
0.0000 0.5000 0.0000 Mo
0.5000 0.0000 0.0000 Mo
0.5000 0.5000 0.5000 Ru
0.0000 0.0000 0.0000 Se
```

Top 10 peaks for 10 to 80 degrees two-theta, most intense first:
| 2θ (°) | d [Å] | I (rel.) |
| --- | --- | --- |
| 39.75 | 2.268 | 100 |
| 34.24 | 2.619 | 90 |
| 57.47 | 1.604 | 66 |
| 68.63 | 1.368 | 34 |
| 72.14 | 1.309 | 22 |
| 27.82 | 3.207 | 17 |
| 19.57 | 4.536 | 15 |
| 49.21 | 1.852 | 7 |
| 44.68 | 2.028 | 7 |
| 78.99 | 1.212 | 3 |



Entry 3:
Starting from a PBE-relaxed structure, the powder X-ray diffraction pattern of Na3Hg5Pd6 was simulated for copper Kα.
Peak positions follow from Bragg's law for the DFT cell and can differ from measured ones.

Cell and atoms:
```
Na3Hg5Pd6
1.0
-2.3102 5.0557 6.3763
2.3102 -5.0557 6.3763
2.3102 5.0557 -6.3763
Na Hg Pd
3 5 6
Direct
0.0000 0.0000 0.0000 Na
0.3129 0.3129 0.0000 Na
0.6871 0.6871 0.0000 Na
0.0316 0.6777 0.3539 Hg
0.3238 0.6777 0.6461 Hg
0.5000 0.0000 0.5000 Hg
0.6762 0.3223 0.3539 Hg
0.9684 0.3223 0.6461 Hg
0.1554 0.8866 0.2688 Pd
0.3167 0.5000 0.8167 Pd
0.3822 0.1134 0.2688 Pd
0.6178 0.8866 0.7312 Pd
0.6833 0.5000 0.1833 Pd
0.8446 0.1134 0.7312 Pd
```

Top 10 peaks for 10 to 80 degrees two-theta, most intense first:
| 2θ (°) | d [Å] | I (rel.) |
| --- | --- | --- |
| 35.86 | 2.504 | 100 |
| 22.69 | 3.919 | 96 |
| 21.14 | 4.202 | 84 |
| 38.99 | 2.310 | 82 |
| 41.32 | 2.185 | 63 |
| 44.35 | 2.043 | 57 |
| 40.39 | 2.233 | 54 |
| 17.54 | 5.056 | 53 |
| 28.53 | 3.128 | 45 |
| 33.94 | 2.641 | 42 |



Entry 4:
Starting from a PBE-relaxed structure, the powder X-ray diffraction pattern of ZrAsPd was simulated for copper Kα.
Peak positions follow from Bragg's law for the DFT cell and can differ from measured ones.

Cell and atoms:
```
ZrAsPd
1.0
3.9416 0.0000 0.0000
0.0000 19.6782 0.0000
0.0000 0.0000 6.7856
Zr As Pd
10 10 10
Direct
0.2500 0.0680 0.0283 Zr
0.2500 0.1280 0.5418 Zr
0.2500 0.2500 0.1545 Zr
0.2500 0.3720 0.5418 Zr
0.2500 0.4320 0.0283 Zr
0.7500 0.5680 0.9717 Zr
0.7500 0.6280 0.4582 Zr
0.7500 0.7500 0.8455 Zr
0.7500 0.8720 0.4582 Zr
0.7500 0.9320 0.9717 Zr
0.2500 0.2500 0.7470 As
0.2500 0.5526 0.2588 As
0.2500 0.6513 0.7566 As
0.2500 0.8487 0.7566 As
0.2500 0.9474 0.2588 As
0.7500 0.0526 0.7412 As
0.7500 0.1513 0.2434 As
0.7500 0.3487 0.2434 As
0.7500 0.4474 0.7412 As
0.7500 0.7500 0.2530 As
0.2500 0.5280 0.6471 Pd
0.2500 0.6738 0.1207 Pd
0.2500 0.7500 0.5119 Pd
0.2500 0.8262 0.1207 Pd
0.2500 0.9720 0.6471 Pd
0.7500 0.0280 0.3529 Pd
0.7500 0.1738 0.8793 Pd
0.7500 0.2500 0.4881 Pd
0.7500 0.3262 0.8793 Pd
0.7500 0.4720 0.3529 Pd
```

Top 10 peaks for 10 to 80 degrees two-theta, most intense first:
| 2θ (°) | d [Å] | I (rel.) |
| --- | --- | --- |
| 34.84 | 2.575 | 100 |
| 37.57 | 2.394 | 57 |
| 46.07 | 1.970 | 41 |
| 39.37 | 2.289 | 28 |
| 46.30 | 1.961 | 21 |
| 40.94 | 2.204 | 17 |
| 38.95 | 2.313 | 16 |
| 67.36 | 1.390 | 13 |
| 41.73 | 2.165 | 12 |
| 45.48 | 1.995 | 11 |